Theoretical XRD peak list of Li2BSeO4 for a wavelength of 1.5418 Å, from a cell relaxed with PBE.

Structural model:
```
data_Li2BSeO4
_cell_length_a 7.441
_cell_length_b 5.056
_cell_length_c 10.837
_cell_angle_alpha 90.00
_cell_angle_beta 91.45
_cell_angle_gamma 90.00
_symmetry_space_group_name_H-M 'P 1 21/c 1'
_symmetry_Int_Tables_number 14
loop_
_symmetry_equiv_pos_as_xyz
'x,y,z'
'-x,-y,-z'
'-x,y+1/2,-z+1/2'
'x,-y+1/2,z+1/2'
loop_
_atom_site_label
_atom_site_fract_x
_atom_site_fract_y
_atom_site_fract_z
Li1 0.106 0.156 0.283
Li2 0.181 0.169 0.552
B1 0.156 0.659 0.418
Se1 0.448 0.629 0.597
O1 0.039 0.683 0.856
O2 0.189 0.102 0.908
O3 0.268 0.698 0.013
O4 0.350 0.127 0.169
```

Principal peaks in the range 15° ≤ 2θ ≤ 90°, in order of rising 2θ:
(0 0 2), 2θ 16.36, intensity 42; (0 1 1), 2θ 19.37, intensity 89; (1 1 1), 2θ 22.91, intensity 62; (1 1 -2), 2θ 26.75, intensity 100; (2 0 -2), 2θ 28.77, intensity 47; (2 0 2), 2θ 29.48, intensity 33; (2 1 1), 2θ 31.13, intensity 31; (0 0 4), 2θ 33.06, intensity 31; (0 2 3), 2θ 43.71, intensity 32; (0 1 5), 2θ 45.59, intensity 30

---

Theoretical XRD peak list of Dy4Ir for a wavelength of 1.5418 Å, from a cell relaxed with PBE.

Structural model:
Cell: 10.844 10.844 10.844 Å, 90.00 90.00 90.00°
Space group Fd-3m (No. 227, origin choice 2)
Inequivalent atoms, fractional coordinates:
Dy 0.014 0.014 0.236
Ir 0.125 0.125 0.625

Principal peaks in the range 15° ≤ 2θ ≤ 90°, in order of rising 2θ:
(2 2 0), 2θ 23.20, intensity 28; (2 2 2), 2θ 28.51, intensity 100; (4 0 0), 2θ 33.04, intensity 23; (3 3 1), 2θ 36.11, intensity 30; (5 1 1), 2θ 43.36, intensity 27; (4 4 0), 2θ 47.43, intensity 57; (6 2 2), 2θ 56.27, intensity 35; (7 3 3), 2θ 71.17, intensity 12; (6 6 2), 2θ 76.60, intensity 11; (8 4 4), 2θ 88.31, intensity 14

---

Theoretical XRD peak list of YLuIr2 for a wavelength of 1.5418 Å, from a cell relaxed with PBE.

Structural model:
```
data_YLuIr2
_cell_length_a 6.800
_cell_length_b 6.800
_cell_length_c 6.800
_cell_angle_alpha 90.00
_cell_angle_beta 90.00
_cell_angle_gamma 90.00
_symmetry_space_group_name_H-M 'F m -3 m'
_symmetry_Int_Tables_number 225
_symmetry_space_group_name_Hall '-F 4 2 3'
loop_
_atom_site_label
_atom_site_fract_x
_atom_site_fract_y
_atom_site_fract_z
Y1 0.000 0.000 0.000
Lu1 0.000 0.000 0.500
Ir1 0.250 0.250 0.250
```

Principal peaks in the range 15° ≤ 2θ ≤ 90°, in order of rising 2θ:
(1 1 1), 2θ 22.65, intensity 4; (2 0 0), 2θ 26.21, intensity 4; (2 2 0), 2θ 37.41, intensity 100; (3 1 1), 2θ 44.17, intensity 2; (2 2 2), 2θ 46.25, intensity 1; (4 0 0), 2θ 53.94, intensity 18; (3 3 1), 2θ 59.23, intensity 1; (4 2 0), 2θ 60.93, intensity 2; (4 2 2), 2θ 67.48, intensity 36; (4 4 0), 2θ 79.78, intensity 11

---

Theoretical XRD peak list of SmNi2As2 for a wavelength of 1.5418 Å, from a cell relaxed with PBE.

Structural model:
```
data_SmNi2As2
_cell_length_a 4.187
_cell_length_b 4.187
_cell_length_c 9.431
_cell_angle_alpha 90.00
_cell_angle_beta 90.00
_cell_angle_gamma 90.00
_symmetry_space_group_name_H-M 'P 4/n m m'
_symmetry_Int_Tables_number 129
loop_
_symmetry_equiv_pos_as_xyz
'x,y,z'
'-x,-y,-z'
'-y+1/2,x,z'
'y+1/2,-x,-z'
'-x+1/2,-y+1/2,z'
'x+1/2,y+1/2,-z'
'y,-x+1/2,z'
'-y,x+1/2,-z'
'x+1/2,-y,-z'
'-x+1/2,y,z'
'-y,-x,-z'
'y,x,z'
'-x,y+1/2,-z'
'x,-y+1/2,z'
'y+1/2,x+1/2,-z'
'-y+1/2,-x+1/2,z'
loop_
_atom_site_label
_atom_site_fract_x
_atom_site_fract_y
_atom_site_fract_z
Sm1 0.250 0.250 0.249
Ni1 0.250 0.250 0.622
Ni2 0.250 0.750 0.000
As1 0.250 0.250 0.871
As2 0.250 0.750 0.500
```

Principal peaks in the range 15° ≤ 2θ ≤ 90°, in order of rising 2θ:
(1 1 0), 2θ 30.19, intensity 12; (1 1 2), 2θ 35.77, intensity 100; (2 0 0), 2θ 43.22, intensity 37; (1 1 4), 2θ 49.42, intensity 5; (1 0 5), 2θ 53.27, intensity 13; (2 1 3), 2θ 57.27, intensity 21; (2 2 0), 2θ 62.77, intensity 12; (1 1 6), 2θ 67.46, intensity 9; (2 1 5), 2θ 70.92, intensity 11; (3 1 2), 2θ 74.41, intensity 18

---

Theoretical XRD peak list of FeNi3 for a wavelength of 1.5418 Å, from a cell relaxed with PBE.

Structural model:
```
data_FeNi3
_cell_length_a 2.4987
_cell_length_b 2.4987
_cell_length_c 24.5162
_cell_angle_alpha 90.00
_cell_angle_beta 90.00
_cell_angle_gamma 120.00
_symmetry_space_group_name_H-M 'R -3 m'
_symmetry_Int_Tables_number 166
_symmetry_space_group_name_Hall '-R 3 2"'
loop_
_atom_site_label
_atom_site_fract_x
_atom_site_fract_y
_atom_site_fract_z
Fe1 0.0000 0.0000 0.0000
Ni1 0.0000 0.0000 0.2503
Ni2 0.0000 0.0000 0.5000
```

Principal peaks in the range 15° ≤ 2θ ≤ 90°, in order of rising 2θ:
(1 0 4), 2θ 44.38, intensity 100; (0 1 8), 2θ 51.71, intensity 46; (1 1 0), 2θ 76.16, intensity 27

---

Theoretical XRD peak list of Rh3W for a wavelength of 1.5418 Å, from a cell relaxed with PBE.

Structural model:
```
data_Rh3W
_cell_length_a 5.5242
_cell_length_b 5.5242
_cell_length_c 4.3927
_cell_angle_alpha 90.00
_cell_angle_beta 90.00
_cell_angle_gamma 120.00
_symmetry_space_group_name_H-M 'P 63/m m c'
_symmetry_Int_Tables_number 194
_symmetry_space_group_name_Hall '-P 6c 2c'
loop_
_atom_site_label
_atom_site_fract_x
_atom_site_fract_y
_atom_site_fract_z
Rh1 0.1672 0.3344 0.2500
W1 0.3333 0.6667 0.7500
```

Principal peaks in the range 15° ≤ 2θ ≤ 90°, in order of rising 2θ:
(1 0 1), 2θ 27.57, intensity 7; (1 1 0), 2θ 32.41, intensity 3; (2 0 0), 2θ 37.60, intensity 24; (0 0 2), 2θ 41.10, intensity 25; (2 0 1), 2θ 43.06, intensity 100; (2 0 2), 2θ 56.92, intensity 15; (2 2 0), 2θ 67.86, intensity 17; (2 0 3), 2θ 76.24, intensity 18; (2 2 2), 2θ 82.51, intensity 20; (4 0 1), 2θ 83.83, intensity 14